This entry pairs a crystal structure of Ti2H4Se with its simulated PXRD pattern. Radiation: Cu Kα, 1.54184 Å. Structure: a GGA-PBE-relaxed structure.
Lines closer than 0.1° are merged.

Cell and atoms:
Lattice parameters (Å, degrees): 6.574 5.512 6.234 67.73 50.90 61.37
Element x y z (fractional)
Ti  0.292  0.708  0.424
Ti  0.674  0.826  0.542
Ti  0.708  0.292  0.576
Ti  0.826  0.674  0.958
H  0.006  0.958  0.701
H  0.440  0.660  0.614
H  0.549  0.914  0.244
H  0.636  0.965  0.810
H  0.660  0.440  0.285
H  0.914  0.549  0.292
H  0.958  0.006  0.336
H  0.965  0.636  0.590
Se  0.253  0.253  0.747
Se  0.503  0.503  0.997

The 10 most intense peaks (2θ = 10–90°), by angle:
2θ (°)  I_rel
18.46  100
27.68  63
30.38  22
31.06  71
37.41  24
40.00  54
43.43  29
43.97  28
48.98  48
51.02  25

***

This entry pairs a crystal structure of Tl5Cd3 with its simulated PXRD pattern. Radiation: Cu Kα, 1.54184 Å. Structure: a GGA-PBE-relaxed structure.
Lines closer than 0.1° are merged.

Cell and atoms:
Lattice parameters (Å, degrees): 8.211 10.967 5.081 90.00 90.00 90.00
Element x y z (fractional)
Tl  0.000  0.000  0.000
Tl  0.000  0.219  0.500
Tl  0.000  0.781  0.500
Tl  0.250  0.250  0.000
Tl  0.250  0.750  0.000
Tl  0.500  0.281  0.500
Tl  0.500  0.500  0.000
Tl  0.500  0.719  0.500
Tl  0.750  0.250  0.000
Tl  0.750  0.750  0.000
Cd  0.000  0.500  0.000
Cd  0.204  0.500  0.500
Cd  0.296  0.000  0.500
Cd  0.500  0.000  0.000
Cd  0.704  0.000  0.500
Cd  0.796  0.500  0.500

The 10 most intense peaks (2θ = 10–90°), by angle:
2θ (°)  I_rel
32.07  9
32.44  100
32.66  23
35.33  22
44.12  10
48.87  15
57.74  9
58.15  13
61.60  16
67.93  9

***

This entry pairs a crystal structure of Pm3SmIr2 with its simulated PXRD pattern. Radiation: Cu Kα, 1.54184 Å. Structure: a GGA-PBE-relaxed structure.
Lines closer than 0.1° are merged.

Cell and atoms:
Lattice parameters (Å, degrees): 8.565 8.565 8.565 132.06 71.60 130.22
Element x y z (fractional)
Pm  0.014  0.750  0.264
Pm  0.250  0.250  0.000
Pm  0.486  0.750  0.736
Pm  0.514  0.250  0.264
Pm  0.750  0.750  0.000
Pm  0.986  0.250  0.736
Sm  0.000  0.500  0.500
Sm  0.500  0.000  0.500
Ir  0.137  0.214  0.351
Ir  0.363  0.714  0.077
Ir  0.637  0.286  0.923
Ir  0.863  0.786  0.649

The 10 most intense peaks (2θ = 10–90°), by angle:
2θ (°)  I_rel
21.88  100
28.62  19
34.05  49
35.89  87
36.55  83
38.21  22
43.01  26
50.65  19
64.06  33
65.36  19

***

This entry pairs a crystal structure of NdThTe3 with its simulated PXRD pattern. Radiation: Cu Kα, 1.54184 Å. Structure: a GGA-PBE-relaxed structure.
Lines closer than 0.1° are merged.

Cell and atoms:
Lattice parameters (Å, degrees): 7.750 7.750 7.662 90.00 90.00 120.00
Element x y z (fractional)
Nd  0.000  0.000  0.000
Nd  0.000  0.000  0.500
Th  0.667  0.333  0.000
Th  0.667  0.333  0.500
Te  0.336  0.013  0.250
Te  0.336  0.323  0.750
Te  0.677  0.013  0.750
Te  0.677  0.664  0.250
Te  0.987  0.323  0.250
Te  0.987  0.664  0.750

The 10 most intense peaks (2θ = 10–90°), by angle:
2θ (°)  I_rel
13.19  63
25.76  64
26.79  18
32.88  100
35.56  14
40.32  51
42.39  17
52.96  26
63.99  26
68.60  24